Record 1
The following is a computed X-ray diffraction stick pattern of BaTi2O5. It was derived from DFT lattice parameters and positions (PBE), using a wavelength of 1.5418 Å.

Main lines, sorted by position (15° ≤ 2θ ≤ 90°):
| d (Å) | two_theta | I (rel.) |
| --- | --- | --- |
| 4.165 | 21.33 | 27 |
| 3.528 | 25.24 | 71 |
| 3.155 | 28.29 | 100 |
| 3.043 | 29.35 | 77 |
| 2.918 | 30.64 | 51 |
| 2.895 | 30.89 | 54 |
| 2.834 | 31.57 | 49 |
| 2.560 | 35.05 | 26 |
| 2.150 | 42.02 | 32 |
| 2.083 | 43.45 | 49 |
| 1.958 | 46.38 | 48 |
| 1.711 | 53.56 | 30 |

```
data_BaTi2O5
_chemical_formula_sum 'Ba6 Ti12 O30'
_cell_length_a 17.070
_cell_length_b 3.915
_cell_length_c 9.695
_cell_angle_alpha 90.00
_cell_angle_beta 102.89
_cell_angle_gamma 90.00
_symmetry_space_group_name_H-M 'C 1 2/m 1'
_symmetry_Int_Tables_number 12
loop_
_symmetry_equiv_pos_as_xyz
'x,y,z'
'-x,-y,-z'
'-x,y,-z'
'x,-y,z'
'x+1/2,y+1/2,z'
'-x+1/2,-y+1/2,-z'
'-x+1/2,y+1/2,-z'
'x+1/2,-y+1/2,z'
loop_
_atom_site_label
_atom_site_fract_x
_atom_site_fract_y
_atom_site_fract_z
Ba1 0.000 0.000 0.000
Ba2 0.131 0.000 0.487
Ti1 0.038 0.500 0.709
Ti2 0.167 0.500 0.199
Ti3 0.205 0.500 0.874
O1 0.000 0.500 0.500
O2 0.034 0.000 0.707
O3 0.058 0.500 0.211
O4 0.107 0.500 0.923
O5 0.152 0.500 0.688
O6 0.176 0.000 0.162
O7 0.211 0.500 0.379
O8 0.236 0.000 0.900
```


Record 2
The following is a computed X-ray diffraction stick pattern of Ba2Ti4O13. It was derived from DFT lattice parameters and positions (PBE), using a wavelength of 1.5418 Å.

Main lines, sorted by position (15° ≤ 2θ ≤ 90°):
| d (Å) | two_theta | I (rel.) |
| --- | --- | --- |
| 5.393 | 16.44 | 36 |
| 3.604 | 24.70 | 42 |
| 3.564 | 24.98 | 100 |
| 3.476 | 25.63 | 52 |
| 3.116 | 28.64 | 51 |
| 3.037 | 29.41 | 82 |
| 2.982 | 29.97 | 57 |
| 2.920 | 30.61 | 43 |
| 2.821 | 31.72 | 39 |
| 2.323 | 38.76 | 40 |
| 2.031 | 44.63 | 38 |
| 1.961 | 46.29 | 44 |

```
data_Ba2Ti4O13
_chemical_formula_sum 'Ba4 Ti8 O26'
_cell_length_a 14.587
_cell_length_b 3.922
_cell_length_c 9.752
_cell_angle_alpha 90.00
_cell_angle_beta 98.75
_cell_angle_gamma 90.00
_symmetry_space_group_name_H-M 'C 1 2/m 1'
_symmetry_Int_Tables_number 12
loop_
_symmetry_equiv_pos_as_xyz
'x,y,z'
'-x,-y,-z'
'-x,y,-z'
'x,-y,z'
'x+1/2,y+1/2,z'
'-x+1/2,-y+1/2,-z'
'-x+1/2,y+1/2,-z'
'x+1/2,-y+1/2,z'
loop_
_atom_site_label
_atom_site_fract_x
_atom_site_fract_y
_atom_site_fract_z
Ba1 0.076 0.000 0.261
Ti1 0.131 0.500 0.619
Ti2 0.169 0.500 0.928
O1 0.000 0.500 0.500
O2 0.065 0.500 0.788
O3 0.114 0.500 0.081
O4 0.118 0.000 0.608
O5 0.156 0.500 0.435
O6 0.194 0.000 0.952
O7 0.237 0.500 0.749
```